1.
# SnTe4Pb3
Simulated X-ray powder pattern, copper Kα. Input: a cell relaxed with GGA-PBE.

Peak list (10 most intense, 2θ = 10–90°, by angle)
2θ (°)  I_rel
23.5  7
27.3  100
38.9  79
46.0  4
48.2  29
56.2  14
63.6  38
70.5  28
83.6  9
89.9  12

Structural model:
a = 4.625 Å, b = 4.625 Å, c = 13.098 Å
α = 90.00°, β = 90.00°, γ = 90.00°
Fractional positions:
Sn  0.000  0.000  0.000
Te  0.000  0.000  0.248
Te  0.000  0.000  0.752
Te  0.500  0.500  0.000
Te  0.500  0.500  0.500
Pb  0.000  0.000  0.500
Pb  0.500  0.500  0.250
Pb  0.500  0.500  0.750

***

2.
# Tl8SnTe6Pb
Simulated X-ray powder pattern, copper Kα. Input: a cell relaxed with GGA-PBE.

Peak list (10 most intense, 2θ = 10–90°, by angle)
2θ (°)  I_rel
30.0  100
30.2  14
31.6  52
40.3  15
45.3  9
46.5  12
52.1  14
58.3  12
59.3  21
67.0  12

Structural model:
a = 9.219 Å, b = 9.219 Å, c = 9.219 Å
α = 121.91°, β = 121.91°, γ = 86.73°
Fractional positions:
Tl  0.013  0.512  0.208
Tl  0.195  0.987  0.499
Tl  0.304  0.805  0.792
Tl  0.488  0.696  0.501
Tl  0.512  0.304  0.499
Tl  0.696  0.195  0.208
Tl  0.805  0.013  0.501
Tl  0.987  0.488  0.792
Sn  0.000  0.000  0.000
Te  0.162  0.332  0.494
Te  0.247  0.247  0.000
Te  0.332  0.838  0.170
Te  0.668  0.162  0.830
Te  0.753  0.753  0.000
Te  0.838  0.668  0.506
Pb  0.500  0.500  0.000

***

3.
# Zr5SnPb3
Simulated X-ray powder pattern, copper Kα. Input: a cell relaxed with GGA-PBE.

Peak list (10 most intense, 2θ = 10–90°, by angle)
2θ (°)  I_rel
24.7  32
29.6  19
33.9  67
34.6  93
35.8  100
44.6  37
50.6  22
62.8  19
65.3  22
72.4  22

Structural model:
a = 8.987 Å, b = 8.987 Å, c = 6.038 Å
α = 90.00°, β = 90.00°, γ = 120.00°
Fractional positions:
Zr  0.000  0.279  0.250
Zr  0.000  0.721  0.750
Zr  0.279  0.000  0.250
Zr  0.279  0.279  0.750
Zr  0.333  0.667  0.000
Zr  0.333  0.667  0.500
Zr  0.667  0.333  0.000
Zr  0.667  0.333  0.500
Zr  0.721  0.000  0.750
Zr  0.721  0.721  0.250
Sn  0.000  0.000  0.000
Sn  0.000  0.000  0.500
Pb  0.000  0.386  0.750
Pb  0.000  0.614  0.250
Pb  0.386  0.000  0.750
Pb  0.386  0.386  0.250
Pb  0.614  0.000  0.250
Pb  0.614  0.614  0.750

***

4.
# SrPb3
Simulated X-ray powder pattern, copper Kα. Input: a cell relaxed with GGA-PBE.

Peak list (10 most intense, 2θ = 10–90°, by angle)
2θ (°)  I_rel
17.6  7
24.9  7
30.7  100
35.5  51
51.1  37
60.8  44
63.8  13
75.2  6
83.4  19
86.1  18

Structural model:
a = 5.052 Å, b = 5.052 Å, c = 5.052 Å
α = 90.00°, β = 90.00°, γ = 90.00°
Fractional positions:
Sr  0.000  0.000  0.000
Pb  0.000  0.500  0.500
Pb  0.500  0.000  0.500
Pb  0.500  0.500  0.000

***

5.
# Sr2Pb
Simulated X-ray powder pattern, copper Kα. Input: a cell relaxed with GGA-PBE.

Peak list (10 most intense, 2θ = 10–90°, by angle)
2θ (°)  I_rel
20.2  37
21.1  39
26.0  28
27.9  100
30.8  73
32.6  66
36.2  29
36.8  27
37.5  38
49.5  24

Structural model:
a = 8.496 Å, b = 5.491 Å, c = 10.269 Å
α = 90.00°, β = 90.00°, γ = 90.00°
Fractional positions:
Sr  0.019  0.250  0.182
Sr  0.157  0.250  0.574
Sr  0.343  0.750  0.074
Sr  0.481  0.750  0.682
Sr  0.519  0.250  0.318
Sr  0.657  0.250  0.926
Sr  0.843  0.750  0.426
Sr  0.981  0.750  0.818
Pb  0.249  0.250  0.895
Pb  0.251  0.750  0.395
Pb  0.749  0.250  0.605
Pb  0.751  0.750  0.105

***

6.
# SrPb
Simulated X-ray powder pattern, copper Kα. Input: a cell relaxed with GGA-PBE.

Peak list (10 most intense, 2θ = 10–90°, by angle)
2θ (°)  I_rel
14.2  23
18.7  42
26.7  80
28.7  22
33.7  100
34.6  26
35.0  30
38.2  23
50.0  19
52.8  19

Structural model:
a = 5.129 Å, b = 12.445 Å, c = 4.707 Å
α = 90.00°, β = 90.00°, γ = 90.00°
Fractional positions:
Sr  0.000  0.134  0.250
Sr  0.000  0.866  0.750
Sr  0.500  0.366  0.750
Sr  0.500  0.634  0.250
Pb  0.000  0.415  0.250
Pb  0.000  0.585  0.750
Pb  0.500  0.085  0.750
Pb  0.500  0.915  0.250